Record 1
# Ca3Al2As4
Simulated XRD peak list, a wavelength of 1.5418 Å. Input: a DFT-relaxed cell (GGA-PBE, the Materials Project).
Neutral-atom scattering factors, no anomalous dispersion.

Largest 10 diffraction maxima, sorted by position, 2θ from 10° to 90°:
2θ/deg, Rel. int.
25.98, 99
26.68, 100
27.30, 72
30.28, 52
35.21, 54
35.45, 42
36.24, 44
38.22, 43
38.49, 37
38.86, 41

Structure:
```
Ca3Al2As4
1.0
6.535 -5.098 0.000
6.535 5.098 0.000
-0.107 0.000 6.682
Ca Al As
6 4 8
Direct
0.099 0.901 0.750 Ca
0.251 0.507 0.028 Ca
0.493 0.749 0.472 Ca
0.507 0.251 0.528 Ca
0.749 0.493 0.972 Ca
0.901 0.099 0.250 Ca
0.080 0.328 0.589 Al
0.328 0.080 0.089 Al
0.672 0.920 0.911 Al
0.920 0.672 0.411 Al
0.066 0.243 0.938 As
0.219 0.560 0.524 As
0.243 0.066 0.438 As
0.440 0.781 0.976 As
0.560 0.219 0.024 As
0.757 0.934 0.562 As
0.781 0.440 0.476 As
0.934 0.757 0.062 As
```

Record 2
# ZnRh
Simulated XRD peak list, a wavelength of 1.5418 Å. Input: a DFT-relaxed cell (GGA-PBE, the Materials Project).
Neutral-atom scattering factors, no anomalous dispersion.

Largest 6 diffraction maxima, sorted by position, 2θ from 10° to 90°:
2θ/deg, Rel. int.
29.48, 5
42.17, 100
52.29, 1
61.17, 16
69.34, 2
77.09, 32

Structure:
```
ZnRh
1.0
3.030 0.000 0.000
0.000 3.030 0.000
0.000 0.000 3.030
Zn Rh
1 1
Direct
0.000 0.000 0.000 Zn
0.500 0.500 0.500 Rh
```